The following is a simulated powder diffractogram of Mn2Cr3FeO8. It was derived from a GGA+U-relaxed structure, using Cu Ka.
Kinematic intensities with the Lorentz-polarization factor, no thermal factor.

Top 8 peaks for 2θ from 10° to 80°, low angle first:
| 2θ (°) | intensity | h k l |
| --- | --- | --- |
| 17.82 | 13.3 | 1 0 1 |
| 29.31 | 31.4 | 1 1 0 |
| 34.52 | 100.0 | 0 1 5 |
| 36.10 | 7.6 | 2 0 2 |
| 41.93 | 21.6 | 0 2 4 |
| 55.39 | 37.3 | 1 2 5 |
| 60.73 | 23.3 | 2 2 0 |
| 60.87 | 22.9 | 2 0 8 |

Cell and atoms:
a = 6.0998 Å, b = 6.0998 Å, c = 14.8971 Å
α = 90.00°, β = 90.00°, γ = 120.00°
Space group R-3m (No. 166, hexagonal axes)
Asymmetric unit:
Mn1 0.0000 0.0000 0.1246 [6 per cell]
Cr1 0.0000 0.5000 0.0000 [9 per cell]
Fe1 0.0000 0.0000 0.5000 [3 per cell]
O1 0.0000 0.0000 0.2639 [6 per cell]
O2 0.0351 0.5176 0.2551 [18 per cell]